Theoretical PXRD pattern
Compound: AcZn3Cr4O12
Radiation: a wavelength of 1.5418 Å
Structure: a structure optimized by DFT (PBE+U)
Intensities are scaled so that the largest is 100.

Main lines, sorted by position (2θ from 10° to 90°):
- 16.6°, I = 32
- 29.0°, I = 15
- 33.6°, I = 100
- 37.8°, I = 14
- 41.5°, I = 12
- 45.0°, I = 17
- 48.3°, I = 27
- 60.2°, I = 46
- 70.7°, I = 13
- 80.6°, I = 16

Atomic structure:
Lattice parameters (Å, degrees): 6.5255 6.5255 6.5255 109.47 109.47 109.47
Element x y z (fractional)
Ac (0.0000, 0.0000, 0.0000)
Zn (0.0000, 0.5000, 0.5000)
Zn (0.5000, 0.0000, 0.5000)
Zn (0.5000, 0.5000, 0.0000)
Cr (0.0000, 0.0000, 0.5000)
Cr (0.0000, 0.5000, 0.0000)
Cr (0.5000, 0.0000, 0.0000)
Cr (0.5000, 0.5000, 0.5000)
O (0.1139, 0.3001, 0.8138)
O (0.1862, 0.4863, 0.3001)
O (0.1862, 0.8861, 0.6999)
O (0.3001, 0.1862, 0.4863)
O (0.3001, 0.8138, 0.1139)
O (0.4863, 0.3001, 0.1862)
O (0.5137, 0.6999, 0.8138)
O (0.6999, 0.1862, 0.8861)
O (0.6999, 0.8138, 0.5137)
O (0.8138, 0.1139, 0.3001)
O (0.8138, 0.5137, 0.6999)
O (0.8861, 0.6999, 0.1862)